No. 1
Diffraction record for RbNb4AgP2S20. The powder X-ray diffraction pattern is simulated, not measured: it uses a structure optimized by DFT (PBE) and Cu Kα (weighted mean of Kα1 and Kα2).

The 12 most intense peaks (2θ = 10–90°), in order of rising 2θ:
| 2θ (°) | d_spacing | Rel. int. |
| --- | --- | --- |
| 11.4 | 7.755 | 52 |
| 12.0 | 7.387 | 77 |
| 13.4 | 6.630 | 38 |
| 14.0 | 6.333 | 16 |
| 16.2 | 5.477 | 100 |
| 16.6 | 5.350 | 24 |
| 17.0 | 5.228 | 56 |
| 20.2 | 4.401 | 18 |
| 22.9 | 3.878 | 45 |
| 33.2 | 2.699 | 27 |
| 34.9 | 2.571 | 16 |
| 41.1 | 2.198 | 28 |

```
28
Lattice="7.587 0.000 0.000 0.357 7.756 0.000 2.908 -0.101 12.666" Properties=species:S:1:pos:R:3 pbc="T T T"
Rb 0.000 0.000 0.000
Nb 3.761 4.325 2.375
Nb 4.602 4.342 6.034
Nb 5.168 3.320 8.693
Nb 6.040 3.237 12.381
Ag 8.911 7.694 7.311
P 2.738 6.674 4.529
P 6.999 0.946 10.134
S 2.998 4.394 7.984
S 1.473 4.345 1.328
S 2.398 4.601 4.612
S 3.869 2.965 10.924
S 3.294 2.535 7.201
S 2.096 2.485 1.873
S 4.757 4.803 10.783
S 3.384 6.889 2.582
S 4.229 6.900 5.923
S 5.499 0.748 8.760
S 6.392 0.668 12.091
S 5.059 2.824 4.003
S 6.467 5.139 7.539
S 4.831 5.131 0.223
S 5.903 4.679 3.806
S 7.380 3.005 10.115
S 5.408 3.261 0.783
S 6.778 3.283 6.759
S 8.950 7.522 9.738
S 8.373 0.088 4.890
```

=====

No. 2
Diffraction record for NbAg2PbW. The powder X-ray diffraction pattern is simulated, not measured: it uses a structure optimized by DFT (PBE) and Cu Kα (weighted mean of Kα1 and Kα2).

The 12 most intense peaks (2θ = 10–90°), in order of rising 2θ:
| 2θ (°) | d_spacing | Rel. int. |
| --- | --- | --- |
| 24.8 | 3.593 | 19 |
| 30.0 | 2.983 | 100 |
| 33.5 | 2.674 | 35 |
| 35.3 | 2.541 | 61 |
| 42.1 | 2.145 | 10 |
| 49.5 | 1.842 | 47 |
| 50.8 | 1.797 | 22 |
| 57.7 | 1.597 | 16 |
| 60.1 | 1.539 | 28 |
| 62.3 | 1.491 | 23 |
| 80.5 | 1.194 | 12 |
| 81.3 | 1.183 | 11 |

```
5
Lattice="5.082 0.000 0.000 0.000 5.082 0.000 0.000 0.000 5.348" Properties=species:S:1:pos:R:3 pbc="T T T"
Nb 0.000 0.000 0.000
Ag 0.000 2.541 0.000
Ag 2.541 0.000 0.000
Pb 0.000 0.000 2.674
W 2.541 2.541 2.674
```

=====

No. 3
Diffraction record for NbAg2Pd9. The powder X-ray diffraction pattern is simulated, not measured: it uses a structure optimized by DFT (PBE) and Cu Kα (weighted mean of Kα1 and Kα2).

The 5 most intense peaks (2θ = 10–90°), in order of rising 2θ:
| 2θ (°) | d_spacing | Rel. int. |
| --- | --- | --- |
| 39.1 | 2.304 | 100 |
| 45.4 | 1.996 | 48 |
| 66.2 | 1.411 | 30 |
| 79.7 | 1.203 | 35 |
| 84.0 | 1.152 | 10 |

```
12
Lattice="3.993 0.000 0.000 0.000 3.993 0.000 0.000 0.000 11.964" Properties=species:S:1:pos:R:3 pbc="T T T"
Nb 0.000 0.000 0.000
Ag 0.000 0.000 3.988
Ag 0.000 0.000 7.976
Pd 0.000 1.997 1.908
Pd 0.000 1.997 5.982
Pd 0.000 1.997 10.056
Pd 1.997 0.000 1.908
Pd 1.997 0.000 5.982
Pd 1.997 0.000 10.056
Pd 1.997 1.997 0.000
Pd 1.997 1.997 3.939
Pd 1.997 1.997 8.025
```

=====

No. 4
Diffraction record for Nb2AgPd9. The powder X-ray diffraction pattern is simulated, not measured: it uses a structure optimized by DFT (PBE) and Cu Kα (weighted mean of Kα1 and Kα2).

The 6 most intense peaks (2θ = 10–90°), in order of rising 2θ:
| 2θ (°) | d_spacing | Rel. int. |
| --- | --- | --- |
| 37.6 | 2.391 | 1 |
| 39.2 | 2.301 | 100 |
| 45.5 | 1.992 | 48 |
| 66.4 | 1.409 | 30 |
| 79.8 | 1.201 | 35 |
| 84.2 | 1.150 | 10 |

```
12
Lattice="3.985 0.000 0.000 0.000 3.985 0.000 0.000 0.000 11.955" Properties=species:S:1:pos:R:3 pbc="T T T"
Nb 0.000 0.000 2.082
Nb 0.000 0.000 9.873
Ag 0.000 0.000 5.977
Pd 0.000 1.992 0.000
Pd 0.000 1.992 3.888
Pd 0.000 1.992 8.067
Pd 1.992 0.000 0.000
Pd 1.992 0.000 3.888
Pd 1.992 0.000 8.067
Pd 1.992 1.992 1.931
Pd 1.992 1.992 5.977
Pd 1.992 1.992 10.023
```

=====

No. 5
Diffraction record for NbAgPt. The powder X-ray diffraction pattern is simulated, not measured: it uses a structure optimized by DFT (PBE) and Cu Kα (weighted mean of Kα1 and Kα2).

The 12 most intense peaks (2θ = 10–90°), in order of rising 2θ:
| 2θ (°) | d_spacing | Rel. int. |
| --- | --- | --- |
| 21.9 | 4.050 | 56 |
| 31.9 | 2.803 | 98 |
| 33.6 | 2.670 | 29 |
| 37.5 | 2.401 | 47 |
| 40.5 | 2.226 | 100 |
| 40.7 | 2.219 | 97 |
| 41.5 | 2.178 | 38 |
| 44.8 | 2.025 | 27 |
| 46.3 | 1.961 | 44 |
| 64.7 | 1.440 | 25 |
| 70.1 | 1.343 | 33 |
| 84.7 | 1.144 | 24 |

```
6
Lattice="0.000 3.767 5.491 2.670 0.000 5.491 2.670 3.767 0.000" Properties=species:S:1:pos:R:3 pbc="T T T"
Nb 1.335 1.884 2.745
Nb 4.005 5.651 8.236
Ag 2.670 1.306 5.491
Ag 2.670 6.229 5.491
Pt 2.670 3.767 4.155
Pt 2.670 3.767 6.826
```

=====

No. 6
Diffraction record for Nb4AgS8. The powder X-ray diffraction pattern is simulated, not measured: it uses a structure optimized by DFT (PBE) and Cu Kα (weighted mean of Kα1 and Kα2).

The 12 most intense peaks (2θ = 10–90°), in order of rising 2θ:
| 2θ (°) | d_spacing | Rel. int. |
| --- | --- | --- |
| 13.1 | 6.737 | 100 |
| 16.4 | 5.389 | 20 |
| 19.8 | 4.491 | 12 |
| 30.7 | 2.916 | 75 |
| 32.6 | 2.749 | 32 |
| 34.4 | 2.608 | 26 |
| 35.5 | 2.530 | 42 |
| 40.1 | 2.247 | 18 |
| 42.4 | 2.130 | 48 |
| 44.1 | 2.054 | 39 |
| 54.4 | 1.688 | 46 |
| 56.2 | 1.636 | 19 |

```
13
Lattice="1.688 0.974 26.946 -1.688 0.974 26.946 0.000 -1.949 26.946" Properties=species:S:1:pos:R:3 pbc="T T T"
Nb 0.000 0.000 0.000
Nb 0.000 0.000 6.353
Nb 0.000 0.000 39.988
Nb 0.000 0.000 46.415
Ag 0.000 0.000 49.888
S 0.000 0.000 11.483
S 0.000 0.000 14.604
S 0.000 0.000 31.737
S 0.000 0.000 34.858
S 0.000 0.000 52.323
S 0.000 0.000 55.414
S 0.000 0.000 71.840
S 0.000 0.000 74.949
```

=====

No. 7
Diffraction record for Nb4AgS8. The powder X-ray diffraction pattern is simulated, not measured: it uses a structure optimized by DFT (PBE) and Cu Kα (weighted mean of Kα1 and Kα2).

The 12 most intense peaks (2θ = 10–90°), in order of rising 2θ:
| 2θ (°) | d_spacing | Rel. int. |
| --- | --- | --- |
| 15.1 | 5.876 | 42 |
| 17.4 | 5.089 | 30 |
| 24.7 | 3.598 | 19 |
| 29.1 | 3.069 | 100 |
| 35.3 | 2.544 | 55 |
| 38.6 | 2.335 | 23 |
| 43.6 | 2.078 | 22 |
| 46.4 | 1.959 | 59 |
| 50.7 | 1.799 | 71 |
| 69.1 | 1.360 | 12 |
| 71.2 | 1.325 | 20 |
| 80.0 | 1.199 | 13 |

```
13
Lattice="0.000 5.089 5.089 5.089 0.000 5.089 5.089 5.089 0.000" Properties=species:S:1:pos:R:3 pbc="T T T"
Nb 3.967 3.967 3.967
Nb 6.211 6.211 3.967
Nb 6.211 3.967 6.211
Nb 3.967 6.211 6.211
Ag 0.000 0.000 0.000
S 6.406 3.772 3.772
S 1.407 1.407 1.407
S 3.682 3.682 1.407
S 3.682 1.407 3.682
S 1.407 3.682 3.682
S 3.772 6.406 3.772
S 3.772 3.772 6.406
S 6.406 6.406 6.406
```

=====

No. 8
Diffraction record for NbAg8S6. The powder X-ray diffraction pattern is simulated, not measured: it uses a structure optimized by DFT (PBE) and Cu Kα (weighted mean of Kα1 and Kα2).

The 12 most intense peaks (2θ = 10–90°), in order of rising 2θ:
| 2θ (°) | d_spacing | Rel. int. |
| --- | --- | --- |
| 24.9 | 3.572 | 43 |
| 27.1 | 3.285 | 30 |
| 27.5 | 3.241 | 31 |
| 28.4 | 3.144 | 100 |
| 28.8 | 3.097 | 52 |
| 30.8 | 2.904 | 30 |
| 35.4 | 2.535 | 60 |
| 39.4 | 2.286 | 32 |
| 41.8 | 2.161 | 38 |
| 42.7 | 2.115 | 39 |
| 43.6 | 2.075 | 36 |
| 47.7 | 1.908 | 38 |

```
30
Lattice="7.749 0.000 0.000 0.000 7.574 0.000 0.000 0.000 10.758" Properties=species:S:1:pos:R:3 pbc="T T T"
Nb 0.000 1.777 0.000
Nb 3.875 5.797 5.379
Ag 0.000 6.047 10.299
Ag 0.000 6.680 5.576
Ag 1.529 7.398 8.093
Ag 1.574 2.970 3.705
Ag 1.666 2.652 6.802
Ag 2.209 4.923 1.423
Ag 2.301 4.605 9.084
Ag 2.346 0.176 2.714
Ag 3.875 0.894 0.197
Ag 3.875 1.527 4.920
Ag 5.403 0.176 2.714
Ag 5.448 4.605 9.084
Ag 5.540 4.923 1.423
Ag 6.083 2.652 6.802
Ag 6.176 2.970 3.705
Ag 6.221 7.398 8.093
S 0.000 1.668 5.265
S 0.000 3.636 1.432
S 0.000 5.296 7.871
S 0.000 7.544 1.499
S 1.926 5.634 4.085
S 1.949 1.940 9.464
S 3.875 0.031 6.878
S 3.875 2.278 2.492
S 3.875 3.939 6.811
S 3.875 5.907 10.645
S 5.800 1.940 9.464
S 5.823 5.634 4.085
```

=====

No. 9
Diffraction record for Sc3NbAg3S8. The powder X-ray diffraction pattern is simulated, not measured: it uses a structure optimized by DFT (PBE) and Cu Kα (weighted mean of Kα1 and Kα2).

The 12 most intense peaks (2θ = 10–90°), in order of rising 2θ:
| 2θ (°) | d_spacing | Rel. int. |
| --- | --- | --- |
| 14.6 | 6.083 | 48 |
| 27.3 | 3.264 | 12 |
| 27.7 | 3.220 | 13 |
| 29.4 | 3.042 | 28 |
| 33.4 | 2.683 | 100 |
| 33.6 | 2.670 | 50 |
| 46.5 | 1.951 | 17 |
| 46.8 | 1.941 | 34 |
| 49.3 | 1.847 | 47 |
| 56.4 | 1.632 | 9 |
| 61.0 | 1.519 | 17 |
| 70.2 | 1.341 | 9 |

```
15
Lattice="6.401 -3.695 0.000 6.401 3.695 0.000 -4.313 0.000 6.529" Properties=species:S:1:pos:R:3 pbc="T T T"
Sc 0.000 0.000 0.000
Sc 3.200 1.847 0.000
Sc 3.200 -1.847 0.000
Nb 6.401 0.000 0.000
Ag 1.044 1.847 3.264
Ag 1.044 -1.847 3.264
Ag 4.244 0.000 3.264
S 2.134 0.000 1.470
S 5.361 1.800 1.436
S 0.008 0.000 5.093
S 3.127 1.800 5.093
S 5.361 -1.800 1.436
S 8.481 0.000 1.435
S 3.127 -1.800 5.093
S 6.354 0.000 5.059
```

=====

No. 10
Diffraction record for Nb3Ag2TeS6. The powder X-ray diffraction pattern is simulated, not measured: it uses a structure optimized by DFT (PBE) and Cu Kα (weighted mean of Kα1 and Kα2).

The 12 most intense peaks (2θ = 10–90°), in order of rising 2θ:
| 2θ (°) | d_spacing | Rel. int. |
| --- | --- | --- |
| 21.4 | 4.158 | 53 |
| 31.0 | 2.887 | 56 |
| 32.9 | 2.726 | 100 |
| 37.9 | 2.372 | 22 |
| 43.5 | 2.079 | 14 |
| 45.4 | 1.999 | 85 |
| 54.4 | 1.687 | 11 |
| 55.1 | 1.668 | 17 |
| 55.2 | 1.664 | 11 |
| 64.7 | 1.441 | 14 |
| 72.7 | 1.300 | 14 |
| 74.1 | 1.279 | 10 |

```
12
Lattice="8.316 0.000 0.000 0.000 4.993 2.890 0.000 -4.993 2.890" Properties=species:S:1:pos:R:3 pbc="T T T"
Nb 0.000 0.000 0.000
Nb 0.000 -1.690 2.839
Nb 0.000 1.690 2.839
Ag 4.158 -3.258 3.476
Ag 4.158 3.258 3.476
Te 4.158 0.000 3.871
S 1.524 0.000 3.830
S 1.597 -3.326 3.815
S 1.597 3.326 3.815
S 6.719 -3.326 3.815
S 6.719 3.326 3.815
S 6.792 0.000 3.830
```

=====

No. 11
Diffraction record for NbAg7Se6. The powder X-ray diffraction pattern is simulated, not measured: it uses a structure optimized by DFT (PBE) and Cu Kα (weighted mean of Kα1 and Kα2).

The 12 most intense peaks (2θ = 10–90°), in order of rising 2θ:
| 2θ (°) | d_spacing | Rel. int. |
| --- | --- | --- |
| 16.4 | 5.415 | 23 |
| 16.7 | 5.304 | 30 |
| 28.3 | 3.149 | 19 |
| 31.6 | 2.828 | 100 |
| 33.8 | 2.652 | 32 |
| 34.3 | 2.612 | 21 |
| 37.5 | 2.397 | 33 |
| 39.3 | 2.291 | 22 |
| 39.6 | 2.274 | 18 |
| 44.7 | 2.028 | 27 |
| 44.9 | 2.020 | 27 |
| 47.1 | 1.928 | 20 |

```
28
Lattice="-3.149 5.304 9.863 3.149 -5.304 9.863 3.149 5.304 -9.863" Properties=species:S:1:pos:R:3 pbc="T T T"
Nb 0.000 0.000 4.932
Nb 0.000 0.000 14.795
Ag 5.254 -1.026 2.146
Ag 5.026 1.017 0.000
Ag 1.044 1.026 2.146
Ag 3.149 0.000 4.932
Ag 1.044 -1.026 7.717
Ag 1.877 4.287 0.000
Ag 2.105 6.330 -2.146
Ag 1.044 -1.026 12.010
Ag 1.272 1.017 9.863
Ag 2.105 6.330 2.146
Ag 0.000 5.304 4.932
Ag 2.105 4.278 7.717
Ag -1.877 4.287 9.863
Ag -2.105 6.330 7.717
Se 1.380 -1.454 3.488
Se 2.319 1.639 0.000
Se 1.769 3.850 -3.488
Se 4.918 1.454 3.488
Se 2.319 -1.639 9.863
Se 1.380 1.454 6.375
Se 1.769 3.850 3.488
Se 0.830 6.943 0.000
Se -1.769 3.850 6.375
Se 1.380 1.454 13.352
Se 0.830 3.664 9.863
Se 1.769 6.758 6.375
```

=====

No. 12
Diffraction record for Nb3AgSn. The powder X-ray diffraction pattern is simulated, not measured: it uses a structure optimized by DFT (PBE) and Cu Kα (weighted mean of Kα1 and Kα2).

The 12 most intense peaks (2θ = 10–90°), in order of rising 2θ:
| 2θ (°) | d_spacing | Rel. int. |
| --- | --- | --- |
| 18.0 | 4.920 | 18 |
| 25.6 | 3.479 | 35 |
| 31.5 | 2.841 | 64 |
| 36.5 | 2.460 | 100 |
| 45.1 | 2.009 | 16 |
| 52.6 | 1.740 | 69 |
| 62.6 | 1.484 | 27 |
| 65.7 | 1.420 | 23 |
| 71.8 | 1.315 | 8 |
| 77.6 | 1.230 | 11 |
| 86.1 | 1.129 | 11 |
| 89.0 | 1.100 | 32 |

```
5
Lattice="4.920 0.000 0.000 0.000 4.920 0.000 0.000 0.000 4.920" Properties=species:S:1:pos:R:3 pbc="T T T"
Nb 0.000 0.000 2.460
Nb 0.000 2.460 0.000
Nb 2.460 0.000 0.000
Ag 0.000 0.000 0.000
Sn 2.460 2.460 2.460
```